[1]
# Y2Fe17
Calculated powder diffractogram, λ = 1.5418 Å (Cu Kα). Input: a GGA-PBE-relaxed structure.

Crystal structure
```
data_Y2Fe17
_space_group_name_H-M_alt 'P 63/m m c'
_space_group_IT_number 194
_space_group_name_Hall '-P 6c 2c'
_cell_length_a 8.4849
_cell_length_b 8.4849
_cell_length_c 8.2309
_cell_angle_alpha 90.00
_cell_angle_beta 90.00
_cell_angle_gamma 120.00
loop_
_atom_site_label
_atom_site_type_symbol
_atom_site_fract_x
_atom_site_fract_y
_atom_site_fract_z
Y1 Y 0.0000 0.0000 0.2500
Y2 Y 0.3333 0.6667 0.2500
Fe1 Fe 0.0000 0.5000 0.0000
Fe2 Fe 0.0403 0.3694 0.7500
Fe3 Fe 0.1660 0.3320 0.0158
Fe4 Fe 0.3333 0.6667 0.6065
```

Top 8 peaks for 2θ from 15° to 90°, by angle:
36.69°, 2.449 Å, intensity 36, hkl 3 0 0
41.06°, 2.198 Å, intensity 33, hkl 2 0 3
42.62°, 2.121 Å, intensity 61, hkl 2 2 0
42.97°, 2.105 Å, intensity 100, hkl 3 0 2
44.00°, 2.058 Å, intensity 35, hkl 0 0 4
48.27°, 1.886 Å, intensity 47, hkl 2 2 2
78.01°, 1.225 Å, intensity 20, hkl 6 0 0
80.20°, 1.197 Å, intensity 19, hkl 3 0 6

=====

[2]
# AcLa3Dy3
Calculated powder diffractogram, λ = 1.5418 Å (Cu Kα). Input: a GGA-PBE-relaxed structure.

Crystal structure
```
data_AcLa3Dy3
_space_group_name_H-M_alt 'P 1'
_space_group_IT_number 1
_space_group_name_Hall 'P 1'
_cell_length_a 9.524
_cell_length_b 10.315
_cell_length_c 10.350
_cell_angle_alpha 83.61
_cell_angle_beta 85.82
_cell_angle_gamma 88.28
loop_
_atom_site_label
_atom_site_type_symbol
_atom_site_fract_x
_atom_site_fract_y
_atom_site_fract_z
Ac1 Ac 0.000 0.000 0.000
Ac2 Ac 0.008 0.855 0.642
Ac3 Ac 0.027 0.641 0.966
Ac4 Ac 0.670 0.825 0.868
La1 La 0.013 0.748 0.307
La2 La 0.155 0.403 0.220
La3 La 0.171 0.326 0.891
La4 La 0.335 0.029 0.775
La5 La 0.340 0.914 0.420
La6 La 0.349 0.799 0.091
La7 La 0.487 0.471 0.984
La8 La 0.499 0.394 0.646
La9 La 0.657 0.077 0.548
La10 La 0.671 0.718 0.513
La11 La 0.836 0.324 0.095
La12 La 0.839 0.413 0.432
Dy1 Dy 0.113 0.503 0.596
Dy2 Dy 0.280 0.226 0.482
Dy3 Dy 0.340 0.132 0.132
Dy4 Dy 0.348 0.691 0.727
Dy5 Dy 0.367 0.592 0.384
Dy6 Dy 0.546 0.320 0.293
Dy7 Dy 0.647 0.172 0.890
Dy8 Dy 0.666 0.978 0.210
Dy9 Dy 0.689 0.630 0.189
Dy10 Dy 0.802 0.479 0.770
Dy11 Dy 0.969 0.195 0.675
Dy12 Dy 0.995 0.097 0.343
```

Top 8 peaks for 2θ from 15° to 90°, by angle:
28.36°, 3.147 Å, intensity 26, hkl 1 0 -3
29.34°, 3.044 Å, intensity 61, hkl 3 1 0
29.96°, 2.982 Å, intensity 100, hkl 1 -3 1
30.47°, 2.934 Å, intensity 69, hkl 1 1 -3
30.72°, 2.911 Å, intensity 91, hkl 1 3 2
30.94°, 2.891 Å, intensity 60, hkl -2 2 2
31.14°, 2.872 Å, intensity 99, hkl 2 0 3
45.80°, 1.981 Å, intensity 24, hkl 0 2 5

=====

[3]
# CaTiNF2
Calculated powder diffractogram, λ = 1.5418 Å (Cu Kα). Input: a GGA-PBE-relaxed structure.

Crystal structure
```
data_CaTiNF2
_space_group_name_H-M_alt 'P 4/m m m'
_space_group_IT_number 123
_space_group_name_Hall '-P 4 2'
_cell_length_a 4.057
_cell_length_b 4.057
_cell_length_c 4.036
_cell_angle_alpha 90.00
_cell_angle_beta 90.00
_cell_angle_gamma 90.00
loop_
_atom_site_label
_atom_site_type_symbol
_atom_site_fract_x
_atom_site_fract_y
_atom_site_fract_z
Ca1 Ca 0.000 0.000 0.000
Ti1 Ti 0.500 0.500 0.500
N1 N 0.500 0.500 0.000
F1 F 0.000 0.500 0.500
```

Top 8 peaks for 2θ from 15° to 90°, by angle:
31.24°, 2.863 Å, intensity 100, hkl 1 0 1
38.50°, 2.338 Å, intensity 16, hkl 1 1 1
44.67°, 2.029 Å, intensity 44, hkl 2 0 0
44.92°, 2.018 Å, intensity 21, hkl 0 0 2
55.53°, 1.655 Å, intensity 26, hkl 2 1 1
65.02°, 1.434 Å, intensity 12, hkl 2 2 0
65.22°, 1.431 Å, intensity 23, hkl 2 0 2
82.51°, 1.169 Å, intensity 11, hkl 2 2 2

=====

[4]
# Mg2Sc5AgPd2
Calculated powder diffractogram, λ = 1.5418 Å (Cu Kα). Input: a GGA-PBE-relaxed structure.

Crystal structure
```
data_Mg2Sc5AgPd2
_space_group_name_H-M_alt 'P 4/m b m'
_space_group_IT_number 127
_space_group_name_Hall '-P 4 2ab'
_cell_length_a 11.216
_cell_length_b 11.216
_cell_length_c 3.473
_cell_angle_alpha 90.00
_cell_angle_beta 90.00
_cell_angle_gamma 90.00
loop_
_atom_site_label
_atom_site_type_symbol
_atom_site_fract_x
_atom_site_fract_y
_atom_site_fract_z
Mg1 Mg 0.173 0.327 0.000
Sc1 Sc 0.000 0.500 0.500
Sc2 Sc 0.071 0.802 0.500
Ag1 Ag 0.000 0.000 0.000
Pd1 Pd 0.132 0.632 0.000
```

Top 8 peaks for 2θ from 15° to 90°, by angle:
15.80°, 5.608 Å, intensity 13, hkl 2 0 0
17.68°, 5.016 Å, intensity 66, hkl 2 1 0
25.11°, 3.547 Å, intensity 22, hkl 3 1 0
34.32°, 2.613 Å, intensity 14, hkl 2 2 1
35.80°, 2.508 Å, intensity 19, hkl 4 2 0
36.20°, 2.481 Å, intensity 100, hkl 3 1 1
38.87°, 2.317 Å, intensity 33, hkl 3 2 1
45.76°, 1.983 Å, intensity 13, hkl 4 4 0

=====

[5]
# NaHoAuSe2
Calculated powder diffractogram, λ = 1.5418 Å (Cu Kα). Input: a GGA-PBE-relaxed structure.

Crystal structure
```
data_NaHoAuSe2
_space_group_name_H-M_alt 'P 1 2/c 1'
_space_group_IT_number 13
_space_group_name_Hall '-P 2yc'
_cell_length_a 6.978
_cell_length_b 4.927
_cell_length_c 7.670
_cell_angle_alpha 90.00
_cell_angle_beta 97.03
_cell_angle_gamma 90.00
loop_
_atom_site_label
_atom_site_type_symbol
_atom_site_fract_x
_atom_site_fract_y
_atom_site_fract_z
Na1 Na 0.000 0.102 0.250
Ho1 Ho 0.500 0.495 0.750
Au1 Au 0.500 0.000 0.000
Se1 Se 0.218 0.345 0.972
```

Top 8 peaks for 2θ from 15° to 90°, by angle:
25.76°, 3.458 Å, intensity 53, hkl 2 0 0
29.66°, 3.012 Å, intensity 49, hkl 0 1 2
31.21°, 2.866 Å, intensity 89, hkl 1 1 -2
33.57°, 2.669 Å, intensity 100, hkl 1 1 2
37.63°, 2.390 Å, intensity 75, hkl 2 1 -2
38.80°, 2.321 Å, intensity 49, hkl 1 2 0
41.60°, 2.171 Å, intensity 50, hkl 2 1 2
45.17°, 2.007 Å, intensity 43, hkl 2 2 0

=====

[6]
# KLi2Ru
Calculated powder diffractogram, λ = 1.5418 Å (Cu Kα). Input: a GGA-PBE-relaxed structure.

Crystal structure
```
data_KLi2Ru
_space_group_name_H-M_alt 'R 3 m'
_space_group_IT_number 160
_space_group_name_Hall 'R 3 -2"'
_cell_length_a 2.9108
_cell_length_b 2.9108
_cell_length_c 32.7378
_cell_angle_alpha 90.00
_cell_angle_beta 90.00
_cell_angle_gamma 120.00
loop_
_atom_site_label
_atom_site_type_symbol
_atom_site_fract_x
_atom_site_fract_y
_atom_site_fract_z
K1 K 0.0000 0.0000 0.0000
Li1 Li 0.0000 0.0000 0.2283
Li2 Li 0.0000 0.0000 0.4788
Ru1 Ru 0.0000 0.0000 0.7493
```

Top 8 peaks for 2θ from 15° to 90°, by angle:
16.24°, 5.456 Å, intensity 43, hkl 0 0 6
24.47°, 3.638 Å, intensity 49, hkl 0 0 9
32.83°, 2.728 Å, intensity 43, hkl 0 0 12
35.72°, 2.513 Å, intensity 52, hkl 1 0 1
37.33°, 2.409 Å, intensity 100, hkl 1 0 4
38.26°, 2.352 Å, intensity 43, hkl 0 1 5
40.66°, 2.219 Å, intensity 41, hkl 1 0 7
42.10°, 2.146 Å, intensity 67, hkl 0 1 8

=====

[7]
# UReC
Calculated powder diffractogram, λ = 1.5418 Å (Cu Kα). Input: a GGA-PBE-relaxed structure.

Crystal structure
```
data_UReC
_space_group_name_H-M_alt 'I 4 m m'
_space_group_IT_number 107
_space_group_name_Hall 'I 4 -2'
_cell_length_a 2.764
_cell_length_b 2.764
_cell_length_c 11.107
_cell_angle_alpha 90.00
_cell_angle_beta 90.00
_cell_angle_gamma 90.00
loop_
_atom_site_label
_atom_site_type_symbol
_atom_site_fract_x
_atom_site_fract_y
_atom_site_fract_z
U1 U 0.000 0.000 0.000
Re1 Re 0.000 0.000 0.264
C1 C 0.000 0.000 0.681
```

Top 8 peaks for 2θ from 15° to 90°, by angle:
32.24°, 2.777 Å, intensity 61, hkl 0 0 4
33.41°, 2.682 Å, intensity 100, hkl 1 0 1
40.74°, 2.215 Å, intensity 90, hkl 1 0 3
46.46°, 1.955 Å, intensity 49, hkl 1 1 0
57.68°, 1.598 Å, intensity 48, hkl 1 1 4
68.14°, 1.376 Å, intensity 25, hkl 1 0 7
77.08°, 1.237 Å, intensity 21, hkl 2 0 4
82.21°, 1.173 Å, intensity 25, hkl 2 1 3

=====

[8]
# Tm3In3NiRu2
Calculated powder diffractogram, λ = 1.5418 Å (Cu Kα). Input: a GGA-PBE-relaxed structure.

Crystal structure
```
data_Tm3In3NiRu2
_space_group_name_H-M_alt 'P -6 2 m'
_space_group_IT_number 189
_space_group_name_Hall 'P -6 -2'
_cell_length_a 7.4966
_cell_length_b 7.4966
_cell_length_c 3.7688
_cell_angle_alpha 90.00
_cell_angle_beta 90.00
_cell_angle_gamma 120.00
loop_
_atom_site_label
_atom_site_type_symbol
_atom_site_fract_x
_atom_site_fract_y
_atom_site_fract_z
Tm1 Tm 0.0000 0.4073 0.0000
In1 In 0.0000 0.7453 0.5000
Ni1 Ni 0.0000 0.0000 0.0000
Ru1 Ru 0.3333 0.6667 0.5000
```

Top 8 peaks for 2θ from 15° to 90°, by angle:
33.72°, 2.658 Å, intensity 83, hkl 1 1 1
36.57°, 2.457 Å, intensity 100, hkl 2 0 1
41.74°, 2.164 Å, intensity 24, hkl 3 0 0
48.30°, 1.884 Å, intensity 16, hkl 0 0 2
56.66°, 1.625 Å, intensity 18, hkl 3 1 1
62.10°, 1.495 Å, intensity 17, hkl 2 1 2
65.70°, 1.421 Å, intensity 12, hkl 3 0 2
67.63°, 1.385 Å, intensity 21, hkl 3 2 1

=====

[9]
# Cs2KI2Br6
Calculated powder diffractogram, λ = 1.5418 Å (Cu Kα). Input: a GGA-PBE-relaxed structure.

Crystal structure
```
data_Cs2KI2Br6
_space_group_name_H-M_alt 'C 1 2/m 1'
_space_group_IT_number 12
_space_group_name_Hall '-C 2y'
_cell_length_a 16.756
_cell_length_b 7.941
_cell_length_c 9.425
_cell_angle_alpha 90.00
_cell_angle_beta 122.44
_cell_angle_gamma 90.00
loop_
_atom_site_label
_atom_site_type_symbol
_atom_site_fract_x
_atom_site_fract_y
_atom_site_fract_z
Cs1 Cs 0.224 0.000 0.188
K1 K 0.000 0.000 0.500
I1 I 0.076 0.500 0.283
Br1 Br 0.089 0.265 0.813
Br2 Br 0.240 0.000 0.609
```

Top 8 peaks for 2θ from 15° to 90°, by angle:
19.46°, 4.562 Å, intensity 51, hkl 3 1 -1
22.36°, 3.975 Å, intensity 61, hkl 0 0 2
22.67°, 3.922 Å, intensity 100, hkl 1 1 -2
25.21°, 3.532 Å, intensity 38, hkl 2 2 -1
30.75°, 2.907 Å, intensity 44, hkl 2 2 1
32.12°, 2.786 Å, intensity 31, hkl 6 0 -2
33.63°, 2.665 Å, intensity 24, hkl 5 1 0
38.19°, 2.357 Å, intensity 26, hkl 6 0 0

=====

[10]
# TbEr4Ag2
Calculated powder diffractogram, λ = 1.5418 Å (Cu Kα). Input: a GGA-PBE-relaxed structure.

Crystal structure
```
data_TbEr4Ag2
_space_group_name_H-M_alt 'R -3 m'
_space_group_IT_number 166
_space_group_name_Hall '-R 3 2"'
_cell_length_a 4.9582
_cell_length_b 4.9582
_cell_length_c 30.0108
_cell_angle_alpha 90.00
_cell_angle_beta 90.00
_cell_angle_gamma 120.00
loop_
_atom_site_label
_atom_site_type_symbol
_atom_site_fract_x
_atom_site_fract_y
_atom_site_fract_z
Tb1 Tb 0.0000 0.0000 0.0000
Er1 Er 0.0000 0.0000 0.2020
Er2 Er 0.0000 0.0000 0.3973
Ag1 Ag 0.0000 0.0000 0.1014
```

Top 8 peaks for 2θ from 15° to 90°, by angle:
25.51°, 3.492 Å, intensity 79, hkl 0 1 5
36.24°, 2.479 Å, intensity 100, hkl 1 1 0
36.53°, 2.460 Å, intensity 96, hkl 1 0 10
44.84°, 2.022 Å, intensity 18, hkl 2 0 5
52.40°, 1.746 Å, intensity 34, hkl 0 2 10
58.95°, 1.567 Å, intensity 16, hkl 1 2 5
65.18°, 1.431 Å, intensity 18, hkl 3 0 0
65.37°, 1.428 Å, intensity 35, hkl 2 1 10

=====

[11]
# Tb2NdY2Tm2
Calculated powder diffractogram, λ = 1.5418 Å (Cu Kα). Input: a GGA-PBE-relaxed structure.

Crystal structure
```
data_Tb2NdY2Tm2
_space_group_name_H-M_alt 'C 1 2/m 1'
_space_group_IT_number 12
_space_group_name_Hall '-C 2y'
_cell_length_a 11.509
_cell_length_b 3.479
_cell_length_c 11.808
_cell_angle_alpha 90.00
_cell_angle_beta 101.76
_cell_angle_gamma 90.00
loop_
_atom_site_label
_atom_site_type_symbol
_atom_site_fract_x
_atom_site_fract_y
_atom_site_fract_z
Tb1 Tb 0.204 0.000 0.369
Nd1 Nd 0.000 0.500 0.500
Y1 Y 0.092 0.000 0.776
Tm1 Tm 0.156 0.000 0.072
```

Top 8 peaks for 2θ from 15° to 90°, by angle:
27.47°, 3.247 Å, intensity 76, hkl 1 1 -1
30.66°, 2.916 Å, intensity 100, hkl 2 0 3
31.11°, 2.875 Å, intensity 85, hkl 4 0 -1
31.79°, 2.815 Å, intensity 84, hkl 2 0 -4
34.56°, 2.595 Å, intensity 83, hkl 1 1 -3
35.16°, 2.552 Å, intensity 82, hkl 3 1 0
53.15°, 1.723 Å, intensity 37, hkl 5 1 -4
62.62°, 1.484 Å, intensity 46, hkl 7 1 -1

=====

[12]
# Li4SmIn5
Calculated powder diffractogram, λ = 1.5418 Å (Cu Kα). Input: a GGA-PBE-relaxed structure.

Crystal structure
```
data_Li4SmIn5
_space_group_name_H-M_alt 'P 4/m m m'
_space_group_IT_number 123
_space_group_name_Hall '-P 4 2'
_cell_length_a 3.530
_cell_length_b 3.530
_cell_length_c 17.091
_cell_angle_alpha 90.00
_cell_angle_beta 90.00
_cell_angle_gamma 90.00
loop_
_atom_site_label
_atom_site_type_symbol
_atom_site_fract_x
_atom_site_fract_y
_atom_site_fract_z
Li1 Li 0.000 0.000 0.094
Li2 Li 0.000 0.000 0.281
Sm1 Sm 0.000 0.000 0.500
In1 In 0.500 0.500 0.000
In2 In 0.500 0.500 0.188
In3 In 0.500 0.500 0.372
```

Top 8 peaks for 2θ from 15° to 90°, by angle:
25.23°, 3.530 Å, intensity 54, hkl 1 0 0
25.77°, 3.457 Å, intensity 20, hkl 1 0 1
27.33°, 3.263 Å, intensity 21, hkl 1 0 2
32.91°, 2.722 Å, intensity 22, hkl 1 0 4
35.98°, 2.496 Å, intensity 70, hkl 1 1 0
36.59°, 2.456 Å, intensity 100, hkl 1 0 5
51.79°, 1.765 Å, intensity 24, hkl 2 0 0
65.08°, 1.433 Å, intensity 36, hkl 2 1 5

=====

[13]
# InSn2PbSe6
Calculated powder diffractogram, λ = 1.5418 Å (Cu Kα). Input: a GGA-PBE-relaxed structure.

Crystal structure
```
data_InSn2PbSe6
_space_group_name_H-M_alt 'C 1 2/c 1'
_space_group_IT_number 15
_space_group_name_Hall '-C 2yc'
_cell_length_a 12.621
_cell_length_b 14.031
_cell_length_c 8.048
_cell_angle_alpha 90.00
_cell_angle_beta 114.58
_cell_angle_gamma 90.00
loop_
_atom_site_label
_atom_site_type_symbol
_atom_site_fract_x
_atom_site_fract_y
_atom_site_fract_z
In1 In 0.000 0.176 0.250
Sn1 Sn 0.124 0.415 0.666
Pb1 Pb 0.000 0.107 0.750
Se1 Se 0.123 0.416 0.005
Se2 Se 0.135 0.057 0.162
Se3 Se 0.138 0.236 0.579
```

Top 8 peaks for 2θ from 15° to 90°, by angle:
15.44°, 5.739 Å, intensity 50, hkl 2 0 0
22.15°, 4.013 Å, intensity 100, hkl 1 3 -1
23.11°, 3.848 Å, intensity 45, hkl 1 1 -2
24.11°, 3.691 Å, intensity 44, hkl 3 1 0
31.12°, 2.874 Å, intensity 47, hkl 4 0 0
34.10°, 2.629 Å, intensity 63, hkl 2 0 2
35.84°, 2.506 Å, intensity 52, hkl 2 2 -3
42.42°, 2.131 Å, intensity 48, hkl 2 4 -3